Entry 1:
For YGa2Ni4, a DFT-relaxed cell (GGA-PBE, Alexandria) gives the computed XRD peak list in this record (Cu Kα (weighted mean of Kα1 and Kα2)).
Kinematic intensities with the Lorentz-polarization factor, no thermal factor.

Structure:
```
YGa2Ni4
1.0
7.250 0.000 0.000
0.000 7.250 0.000
0.000 0.000 3.836
Y Ga Ni
2 4 8
Cartesian
0.000 0.000 0.000
3.625 3.625 1.918
1.594 1.594 1.918
2.031 5.219 0.000
5.219 2.031 0.000
5.656 5.656 1.918
0.644 4.705 1.918
1.080 2.981 0.000
2.545 6.606 1.918
2.981 1.080 0.000
4.269 6.170 0.000
4.705 0.644 1.918
6.170 4.269 0.000
6.606 2.545 1.918
```

Top 6 peaks for 5° ≤ 2θ ≤ 70°, by angle:
d/Å, I_rel, hkl
2.563, 27.7, 2 2 0
2.476, 100.0, 2 1 1
2.293, 42.1, 3 1 0
2.131, 56.6, 2 2 1
1.968, 91.7, 3 1 1
1.918, 42.3, 0 0 2



Entry 2:
For Cs2RbSnHg, a DFT-relaxed cell (GGA-PBE, Alexandria) gives the computed XRD peak list in this record (Cu Kα (weighted mean of Kα1 and Kα2)).
Kinematic intensities with the Lorentz-polarization factor, no thermal factor.

Structure:
```
Cs2RbSnHg
1.0
7.412 0.000 0.000
0.000 7.412 0.000
0.000 0.000 5.516
Cs Rb Sn Hg
2 1 1 1
Cartesian
0.000 3.706 0.000
3.706 0.000 0.000
0.000 0.000 2.758
3.706 3.706 2.758
3.706 3.706 0.000
```

Top 6 peaks for 5° ≤ 2θ ≤ 70°, by angle:
d/Å, I_rel, hkl
7.412, 56.9, 1 0 0
3.799, 35.2, 1 1 1
3.706, 100.0, 2 0 0
2.620, 40.4, 2 2 0
2.212, 49.7, 2 0 2
1.900, 31.3, 2 2 2



Number 2 is which compound? Cs2RbSnHg